No. 1
Structure and computed powder XRD pattern of CeNdIn5 (a structure optimized by DFT (GGA-PBE); CuKα).

Crystal structure
Cell: 5.256 5.256 7.476 Å, 90.00 90.00 90.00°
Space group P4/mmm (No. 123)
Asymmetric unit:
Ce  0.000  0.000  0.000 [1 per cell]
Nd  0.500  0.500  0.500 [1 per cell]
In  0.000  0.000  0.500 [1 per cell]
In  0.000  0.500  0.239 [4 per cell]

Top 8 peaks for 2θ = 10–90°, by angle:
2θ (°)	I/Imax	h k l
20.66	13	1 0 1
34.02	100	1 1 2
34.12	50	2 0 0
49.02	18	2 2 0
60.82	18	2 0 4
61.01	36	3 1 2
71.61	11	2 2 4
81.96	15	4 2 0

No. 2
Structure and computed powder XRD pattern of NaIn2HgI8 (a structure optimized by DFT (GGA-PBE); CuKα).

Crystal structure
Cell: 10.714 10.714 9.713 Å, 90.00 90.00 90.00°
Space group I-4m2 (No. 119)
Asymmetric unit:
Na  0.000  0.000  0.000 [2 per cell]
In  0.000  0.000  0.500 [2 per cell]
In  0.000  0.500  0.750 [2 per cell]
Hg  0.000  0.500  0.250 [2 per cell]
I  0.000  0.197  0.312 [8 per cell]
I  0.000  0.304  0.934 [8 per cell]

Top 8 peaks for 2θ = 10–90°, by angle:
2θ (°)	I/Imax	h k l
16.55	91	2 0 0
20.67	76	2 1 1
24.74	100	2 0 2
26.59	64	3 0 1
28.81	43	1 0 3
32.22	92	3 1 2
33.44	79	4 0 0
40.25	66	3 3 2

No. 3
Structure and computed powder XRD pattern of AcMnB14 (a structure optimized by DFT (GGA-PBE); CuKα).

Crystal structure
Cell: 5.883 11.041 8.442 Å, 90.00 90.00 90.00°
Space group Imma (No. 74)
Asymmetric unit:
Ac  0.000  0.250  0.128 [4 per cell]
Mn  0.250  0.250  0.750 [4 per cell]
B  0.000  0.082  0.667 [8 per cell]
B  0.000  0.124  0.862 [8 per cell]
B  0.000  0.165  0.471 [8 per cell]
B  0.160  0.057  0.342 [16 per cell]
B  0.249  0.075  0.549 [16 per cell]

Top 8 peaks for 2θ = 10–90°, by angle:
2θ (°)	I/Imax	h k l
13.20	48	0 1 1
16.05	100	0 2 0
18.38	46	1 0 1
24.50	77	1 2 1
27.23	99	1 1 2
33.26	59	2 1 1
35.79	64	1 3 2
40.69	46	2 3 1